1.
This entry pairs a crystal structure of Ba2HgHRh with its computed X-ray diffraction stick pattern. Radiation: CuKα. Structure: a PBE-relaxed structure.

```
10
Lattice="7.0301 0.0000 0.0000 0.0000 4.5366 0.0000 -2.8062 0.0000 8.9386" Properties=species:S:1:pos:R:3 pbc="T T T"
Ba 0.4650 1.1341 3.5600
Ba -0.9918 1.1341 8.6335
Ba 5.2158 3.4024 0.3051
Ba 3.7589 3.4024 5.3786
Hg 0.3537 3.4024 6.2941
Hg 3.8703 1.1341 2.6445
H 0.7558 3.4024 1.3358
H 3.4681 1.1341 7.6028
Rh 2.2815 3.4024 2.0581
Rh 1.9424 1.1341 6.8805
```

Main lines, by intensity (10° ≤ 2θ ≤ 90°):
| d_spacing | I_rel |
| --- | --- |
| 3.182 | 100 |
| 2.663 | 88 |
| 2.603 | 78 |
| 3.148 | 64 |
| 6.707 | 55 |
| 2.268 | 46 |
| 2.697 | 45 |
| 3.354 | 39 |
| 2.341 | 38 |
| 1.795 | 27 |


2.
This entry pairs a crystal structure of CuAs with its computed X-ray diffraction stick pattern. Radiation: CuKα. Structure: a PBE-relaxed structure.

```
4
Lattice="2.6976 0.0000 0.0000 0.0000 3.6345 0.0000 0.0000 0.0000 6.8826" Properties=species:S:1:pos:R:3 pbc="T T T"
Cu 0.6744 0.9086 0.6909
Cu 2.0232 2.7258 6.1917
As 0.6744 0.9086 4.9068
As 2.0232 2.7258 1.9758
```

Main lines, by intensity (10° ≤ 2θ ≤ 90°):
| d_spacing | I_rel |
| --- | --- |
| 2.166 | 100 |
| 2.499 | 72 |
| 6.883 | 61 |
| 1.940 | 51 |
| 2.123 | 44 |
| 1.748 | 36 |
| 1.817 | 29 |
| 1.260 | 23 |
| 1.162 | 23 |
| 1.381 | 20 |


3.
This entry pairs a crystal structure of Sc2Zn4Cu5 with its computed X-ray diffraction stick pattern. Radiation: CuKα. Structure: a PBE-relaxed structure.

```
11
Lattice="0.0000 4.2029 8.0080 2.5811 0.0000 8.0080 2.5811 4.2029 0.0000" Properties=species:S:1:pos:R:3 pbc="T T T"
Sc 2.5811 4.2029 1.8954
Sc 2.5811 4.2029 14.1206
Zn 2.5811 2.8730 5.9288
Zn 2.5811 2.8730 10.0872
Zn 2.5811 5.5329 5.9288
Zn 2.5811 5.5329 10.0872
Cu 1.2905 2.1015 0.0000
Cu 1.2905 2.1015 4.0040
Cu 1.2905 2.1015 8.0080
Cu 2.5811 4.2029 8.0080
Cu 3.8716 6.3044 12.0120
```

Main lines, by intensity (10° ≤ 2θ ≤ 90°):
| d_spacing | I_rel |
| --- | --- |
| 2.169 | 100 |
| 2.236 | 76 |
| 2.002 | 58 |
| 1.928 | 58 |
| 4.203 | 47 |
| 4.242 | 42 |
| 1.952 | 41 |
| 1.861 | 37 |
| 2.199 | 32 |
| 2.434 | 30 |


What is the formula in the third record? Sc2Zn4Cu5


Which formula does entry 1 have? Ba2HgHRh